This entry pairs a crystal structure of LiMnBO3 with its theoretical X-ray powder pattern. Radiation: a wavelength of 1.5418 Å. Structure: a DFT-relaxed cell (GGA+U, Alexandria).

Crystal structure
```
data_LiMnBO3
_space_group_name_H-M_alt 'P -6'
_space_group_IT_number 174
_cell_length_a 8.2688
_cell_length_b 8.2688
_cell_length_c 3.1928
_cell_angle_alpha 90.00
_cell_angle_beta 90.00
_cell_angle_gamma 120.00
loop_
_space_group_symop_operation_xyz
'x,y,z'
'-x+y,-x,-z'
'-y,x-y,z'
'x,y,-z'
'-x+y,-x,z'
'-y,x-y,-z'
loop_
_atom_site_label
_atom_site_type_symbol
_atom_site_fract_x
_atom_site_fract_y
_atom_site_fract_z
Li1 Li 0.0505 0.3681 0.0000
Mn1 Mn 0.3440 0.3057 0.5000
B1 B 0.0000 0.0000 0.0000
B2 B 0.3333 0.6667 0.5000
B3 B 0.6667 0.3333 0.0000
O1 O 0.1935 0.1052 0.0000
O2 O 0.2181 0.4729 0.5000
O3 O 0.5545 0.4150 0.0000
```

Main lines, by angle (5° ≤ 2θ ≤ 70°):
4.134 Å, 2θ = 21.49°, intensity 100; 2.527 Å, 2θ = 35.52°, intensity 84; 2.386 Å, 2θ = 37.70°, intensity 44; 2.066 Å, 2θ = 43.82°, intensity 28; 1.912 Å, 2θ = 47.56°, intensity 29; 1.735 Å, 2θ = 52.75°, intensity 26